# 1
This entry pairs a crystal structure of DyMgIn with its simulated powder diffractogram. Radiation: Cu Kα X-rays. Structure: the GGA-PBE geometry in the Materials Project.

Cell and atoms:
```
data_DyMgIn
_space_group_name_H-M_alt 'P -6 2 m'
_space_group_IT_number 189
_space_group_name_Hall 'P -6 -2'
_cell_length_a 7.5382
_cell_length_b 7.5382
_cell_length_c 4.6763
_cell_angle_alpha 90.00
_cell_angle_beta 90.00
_cell_angle_gamma 120.00
loop_
_atom_site_label
_atom_site_fract_x
_atom_site_fract_y
_atom_site_fract_z
_atom_site_occupancy
Dy1 0.0000 0.5657 0.0000 1
Mg1 0.0000 0.2424 0.5000 1
In1 0.0000 0.0000 0.0000 1
In2 0.3333 0.6667 0.5000 1
```

Main lines, by angle (2θ = 10–80°):
| Position (°2θ) | d/Å | Rel. int. | h k l |
| --- | --- | --- | --- |
| 23.6 | 3.769 | 18 | 1 1 0 |
| 27.3 | 3.264 | 26 | 2 0 0 |
| 30.5 | 2.935 | 52 | 1 1 1 |
| 33.5 | 2.677 | 100 | 2 0 1 |
| 36.4 | 2.467 | 16 | 2 1 0 |
| 38.5 | 2.338 | 23 | 0 0 2 |
| 41.4 | 2.182 | 14 | 2 1 1 |
| 50.4 | 1.811 | 14 | 3 1 0 |
| 54.3 | 1.688 | 18 | 3 1 1 |
| 65.5 | 1.426 | 17 | 3 2 1 |

# 2
This entry pairs a crystal structure of Tl3B3Se10 with its simulated powder diffractogram. Radiation: Cu Kα X-rays. Structure: the GGA-PBE geometry in the Materials Project.

Cell and atoms:
```
data_Tl3B3Se10
_space_group_name_H-M_alt 'P -1'
_space_group_IT_number 2
_cell_length_a 7.311
_cell_length_b 8.319
_cell_length_c 14.862
_cell_angle_alpha 103.96
_cell_angle_beta 94.70
_cell_angle_gamma 93.48
loop_
_space_group_symop_operation_xyz
'x,y,z'
'-x,-y,-z'
loop_
_atom_site_label
_atom_site_fract_x
_atom_site_fract_y
_atom_site_fract_z
_atom_site_occupancy
Tl1 0.014 0.379 0.295 1
Tl2 0.266 0.949 0.346 1
Tl3 0.325 0.683 0.979 1
B1 0.106 0.121 0.915 1
B2 0.261 0.213 0.739 1
B3 0.363 0.414 0.590 1
Se1 0.070 0.290 0.835 1
Se2 0.140 0.019 0.128 1
Se3 0.141 0.249 0.053 1
Se4 0.164 0.240 0.610 1
Se5 0.224 0.559 0.516 1
Se6 0.299 0.965 0.725 1
Se7 0.341 0.001 0.890 1
Se8 0.469 0.743 0.486 1
Se9 0.478 0.563 0.715 1
Se10 0.480 0.663 0.215 1
```

Main lines, by angle (2θ = 10–80°):
| Position (°2θ) | d/Å | Rel. int. | h k l |
| --- | --- | --- | --- |
| 16.8 | 5.277 | 34 | 1 1 -1 |
| 23.2 | 3.831 | 34 | 1 -1 3 |
| 25.4 | 3.511 | 65 | 1 -2 2 |
| 27.8 | 3.211 | 79 | 2 1 0 |
| 28.0 | 3.188 | 41 | 0 2 2 |
| 29.0 | 3.084 | 41 | 0 2 -4 |
| 29.1 | 3.072 | 100 | -2 1 2 |
| 29.7 | 3.011 | 77 | 0 1 4 |
| 32.4 | 2.763 | 35 | 0 3 -1 |
| 33.4 | 2.685 | 50 | 0 3 0 |

# 3
This entry pairs a crystal structure of HoGa3 with its simulated powder diffractogram. Radiation: Cu Kα X-rays. Structure: the GGA-PBE geometry in the Materials Project.

Cell and atoms:
```
data_HoGa3
_space_group_name_H-M_alt 'R -3 m'
_space_group_IT_number 166
_space_group_name_Hall '-R 3 2"'
_cell_length_a 6.0896
_cell_length_b 6.0896
_cell_length_c 35.6794
_cell_angle_alpha 90.00
_cell_angle_beta 90.00
_cell_angle_gamma 120.00
loop_
_atom_site_label
_atom_site_fract_x
_atom_site_fract_y
_atom_site_fract_z
_atom_site_occupancy
Ho1 0.0000 0.0000 0.0000 1
Ho2 0.0000 0.0000 0.1307 1
Ho3 0.0000 0.0000 0.4000 1
Ga1 0.0000 0.5000 0.0000 1
Ga2 0.0018 0.5009 0.8659 1
Ga3 0.0373 0.5186 0.3994 1
```

Main lines, by angle (2θ = 10–80°):
| Position (°2θ) | d/Å | Rel. int. | h k l |
| --- | --- | --- | --- |
| 29.3 | 3.045 | 26 | 1 1 0 |
| 35.5 | 2.529 | 70 | 0 2 4 |
| 36.3 | 2.473 | 37 | 2 0 5 |
| 37.8 | 2.379 | 76 | 0 0 15 |
| 38.4 | 2.342 | 100 | 0 2 7 |
| 39.7 | 2.270 | 97 | 2 0 8 |
| 42.6 | 2.121 | 27 | 0 2 10 |
| 44.3 | 2.046 | 36 | 2 0 11 |
| 60.8 | 1.522 | 52 | 2 2 0 |
| 73.9 | 1.282 | 57 | 2 2 15 |

# 4
This entry pairs a crystal structure of PdAu2N4Cl8 with its simulated powder diffractogram. Radiation: Cu Kα X-rays. Structure: the GGA-PBE geometry in the Materials Project.

Cell and atoms:
```
data_PdAu2N4Cl8
_space_group_name_H-M_alt 'P -1'
_space_group_IT_number 2
_cell_length_a 7.700
_cell_length_b 7.926
_cell_length_c 8.333
_cell_angle_alpha 111.78
_cell_angle_beta 104.10
_cell_angle_gamma 107.62
loop_
_space_group_symop_operation_xyz
'x,y,z'
'-x,-y,-z'
loop_
_atom_site_label
_atom_site_fract_x
_atom_site_fract_y
_atom_site_fract_z
_atom_site_occupancy
Pd1 0.000 0.000 0.000 1
Au1 0.044 0.561 0.295 1
N1 0.094 0.079 0.282 1
N2 0.267 0.207 0.039 1
Cl1 0.147 0.771 0.966 1
Cl2 0.209 0.883 0.540 1
Cl3 0.245 0.400 0.790 1
Cl4 0.330 0.517 0.369 1
```

Main lines, by angle (2θ = 10–80°):
| Position (°2θ) | d/Å | Rel. int. | h k l |
| --- | --- | --- | --- |
| 13.2 | 6.719 | 100 | 1 0 0 |
| 13.4 | 6.622 | 27 | 0 1 0 |
| 14.1 | 6.287 | 20 | 1 -1 0 |
| 22.0 | 4.034 | 38 | 0 1 -2 |
| 23.4 | 3.794 | 52 | 1 1 -2 |
| 26.6 | 3.356 | 15 | 0 2 -2 |
| 28.4 | 3.145 | 15 | 2 -2 0 |
| 31.2 | 2.866 | 13 | 2 1 -2 |
| 35.0 | 2.562 | 12 | 0 2 1 |
| 37.4 | 2.405 | 15 | 3 -2 0 |

# 5
This entry pairs a crystal structure of Mg14TiC with its simulated powder diffractogram. Radiation: Cu Kα X-rays. Structure: the GGA-PBE geometry in the Materials Project.

Cell and atoms:
```
data_Mg14TiC
_space_group_name_H-M_alt 'A m m 2'
_space_group_IT_number 38
_cell_length_a 9.761
_cell_length_b 5.983
_cell_length_c 11.560
_cell_angle_alpha 90.00
_cell_angle_beta 90.00
_cell_angle_gamma 90.00
loop_
_space_group_symop_operation_xyz
'x,y,z'
'-x,-y,z'
'-x,y,z'
'x,-y,z'
'x,y+1/2,z+1/2'
'-x,-y+1/2,z+1/2'
'-x,y+1/2,z+1/2'
'x,-y+1/2,z+1/2'
loop_
_atom_site_label
_atom_site_fract_x
_atom_site_fract_y
_atom_site_fract_z
_atom_site_occupancy
Mg1 0.000 0.000 0.000 1
Mg2 0.000 0.000 0.494 1
Mg3 0.000 0.246 0.249 1
Mg4 0.250 0.000 0.658 1
Mg5 0.266 0.246 0.913 1
Mg6 0.294 0.000 0.138 1
Mg7 0.500 0.234 0.769 1
Ti1 0.500 0.000 0.517 1
C1 0.500 0.000 0.928 1
```

Main lines, by angle (2θ = 10–80°):
| Position (°2θ) | d/Å | Rel. int. | h k l |
| --- | --- | --- | --- |
| 32.3 | 2.774 | 11 | 3 1 1 |
| 33.7 | 2.657 | 39 | 0 2 2 |
| 36.1 | 2.487 | 75 | 2 0 4 |
| 36.8 | 2.440 | 39 | 4 0 0 |
| 38.6 | 2.333 | 100 | 2 2 2 |
| 50.8 | 1.797 | 19 | 4 2 2 |
| 56.8 | 1.620 | 19 | 0 2 6 |
| 67.5 | 1.387 | 13 | 6 2 2 |
| 69.7 | 1.350 | 17 | 4 2 6 |
| 74.0 | 1.282 | 17 | 2 4 4 |

# 6
This entry pairs a crystal structure of Na4NpO5 with its simulated powder diffractogram. Radiation: Cu Kα X-rays. Structure: the GGA-PBE geometry in the Materials Project.

Cell and atoms:
```
data_Na4NpO5
_space_group_name_H-M_alt 'I 4/m'
_space_group_IT_number 87
_space_group_name_Hall '-I 4'
_cell_length_a 7.637
_cell_length_b 7.637
_cell_length_c 4.647
_cell_angle_alpha 90.00
_cell_angle_beta 90.00
_cell_angle_gamma 90.00
loop_
_atom_site_label
_atom_site_fract_x
_atom_site_fract_y
_atom_site_fract_z
_atom_site_occupancy
Na1 0.101 0.301 0.000 1
Np1 0.000 0.000 0.500 1
O1 0.000 0.000 0.000 1
O2 0.076 0.253 0.500 1
```

Main lines, by angle (2θ = 10–80°):
| Position (°2θ) | d/Å | Rel. int. | h k l |
| --- | --- | --- | --- |
| 16.4 | 5.400 | 100 | 1 1 0 |
| 22.4 | 3.970 | 95 | 1 0 1 |
| 23.3 | 3.819 | 39 | 2 0 0 |
| 32.5 | 2.752 | 78 | 2 1 1 |
| 37.2 | 2.415 | 51 | 1 3 0 |
| 38.8 | 2.323 | 21 | 0 0 2 |
| 47.2 | 1.927 | 21 | 2 3 1 |
| 53.2 | 1.721 | 20 | 1 4 1 |
| 54.8 | 1.674 | 33 | 1 3 2 |
| 64.2 | 1.451 | 25 | 5 0 1 |

# 7
This entry pairs a crystal structure of AgPO3 with its simulated powder diffractogram. Radiation: Cu Kα X-rays. Structure: the GGA-PBE geometry in the Materials Project.

Cell and atoms:
```
data_AgPO3
_space_group_name_H-M_alt 'P 1 21/c 1'
_space_group_IT_number 14
_cell_length_a 5.873
_cell_length_b 4.050
_cell_length_c 11.965
_cell_angle_alpha 90.00
_cell_angle_beta 111.53
_cell_angle_gamma 90.00
loop_
_space_group_symop_operation_xyz
'x,y,z'
'-x,-y,-z'
'-x,y+1/2,-z+1/2'
'x,-y+1/2,z+1/2'
loop_
_atom_site_label
_atom_site_fract_x
_atom_site_fract_y
_atom_site_fract_z
_atom_site_occupancy
Ag1 0.182 0.140 0.410 1
P1 0.345 0.512 0.671 1
O1 0.113 0.149 0.170 1
O2 0.354 0.681 0.561 1
O3 0.425 0.743 0.287 1
```

Main lines, by angle (2θ = 10–80°):
| Position (°2θ) | d/Å | Rel. int. | h k l |
| --- | --- | --- | --- |
| 26.8 | 3.332 | 34 | 1 0 2 |
| 27.2 | 3.275 | 37 | 0 1 2 |
| 27.4 | 3.254 | 30 | 1 1 0 |
| 30.2 | 2.955 | 100 | 1 0 -4 |
| 30.7 | 2.911 | 45 | 2 0 -2 |
| 32.4 | 2.764 | 29 | 1 1 -3 |
| 32.8 | 2.732 | 17 | 2 0 0 |
| 39.3 | 2.293 | 28 | 0 1 4 |
| 39.8 | 2.264 | 36 | 2 1 0 |
| 47.5 | 1.913 | 25 | 1 2 -1 |

# 8
This entry pairs a crystal structure of HoAgSe2 with its simulated powder diffractogram. Radiation: Cu Kα X-rays. Structure: the GGA-PBE geometry in the Materials Project.

Cell and atoms:
```
data_HoAgSe2
_space_group_name_H-M_alt 'I m a 2'
_space_group_IT_number 46
_cell_length_a 5.704
_cell_length_b 12.100
_cell_length_c 5.708
_cell_angle_alpha 90.00
_cell_angle_beta 90.00
_cell_angle_gamma 90.00
loop_
_space_group_symop_operation_xyz
'x,y,z'
'-x,-y,z'
'-x+1/2,y,z'
'x+1/2,-y,z'
'x+1/2,y+1/2,z+1/2'
'-x+1/2,-y+1/2,z+1/2'
'-x,y+1/2,z+1/2'
'x,-y+1/2,z+1/2'
loop_
_atom_site_label
_atom_site_fract_x
_atom_site_fract_y
_atom_site_fract_z
_atom_site_occupancy
Ho1 0.250 0.125 0.000 1
Ag1 0.250 0.625 0.997 1
Se1 0.250 0.139 0.499 1
Se2 0.250 0.612 0.492 1
```

Main lines, by angle (2θ = 10–80°):
| Position (°2θ) | d/Å | Rel. int. | h k l |
| --- | --- | --- | --- |
| 26.6 | 3.357 | 22 | 1 2 1 |
| 29.5 | 3.025 | 56 | 0 4 0 |
| 31.4 | 2.853 | 100 | 2 0 0 |
| 43.6 | 2.076 | 76 | 2 4 0 |
| 44.9 | 2.017 | 37 | 2 0 2 |
| 54.7 | 1.678 | 39 | 2 4 2 |
| 65.4 | 1.427 | 12 | 4 0 0 |
| 70.5 | 1.336 | 16 | 2 8 0 |
| 73.4 | 1.290 | 16 | 4 4 0 |
| 74.3 | 1.276 | 16 | 4 0 2 |

# 9
This entry pairs a crystal structure of Ba2YMgCu3S7 with its simulated powder diffractogram. Radiation: Cu Kα X-rays. Structure: the GGA-PBE geometry in the Materials Project.

Cell and atoms:
```
data_Ba2YMgCu3S7
_space_group_name_H-M_alt 'P m m m'
_space_group_IT_number 47
_cell_length_a 4.378
_cell_length_b 4.938
_cell_length_c 14.105
_cell_angle_alpha 90.00
_cell_angle_beta 90.00
_cell_angle_gamma 90.00
loop_
_space_group_symop_operation_xyz
'x,y,z'
'-x,-y,-z'
'-x,-y,z'
'x,y,-z'
'x,-y,-z'
'-x,y,z'
'-x,y,-z'
'x,-y,z'
loop_
_atom_site_label
_atom_site_fract_x
_atom_site_fract_y
_atom_site_fract_z
_atom_site_occupancy
Ba1 0.000 0.000 0.173 1
Y1 0.000 0.000 0.500 1
Mg1 0.500 0.500 0.500 1
Cu1 0.500 0.500 0.000 1
Cu2 0.500 0.500 0.317 1
S1 0.000 0.500 0.383 1
S2 0.500 0.000 0.000 1
S3 0.500 0.000 0.379 1
S4 0.500 0.500 0.158 1
```

Main lines, by angle (2θ = 10–80°):
| Position (°2θ) | d/Å | Rel. int. | h k l |
| --- | --- | --- | --- |
| 26.2 | 3.405 | 83 | 0 1 3 |
| 27.2 | 3.276 | 100 | 1 1 0 |
| 27.8 | 3.204 | 100 | 1 0 3 |
| 33.3 | 2.688 | 64 | 1 1 3 |
| 36.4 | 2.469 | 65 | 0 2 0 |
| 38.3 | 2.351 | 32 | 0 0 6 |
| 41.2 | 2.189 | 47 | 2 0 0 |
| 46.4 | 1.956 | 48 | 1 2 3 |
| 47.6 | 1.910 | 67 | 1 1 6 |
| 56.2 | 1.638 | 35 | 2 2 0 |

Please write out number 5 again, unchanged.
This entry pairs a crystal structure of Mg14TiC with its simulated powder diffractogram. Radiation: Cu Kα X-rays. Structure: the GGA-PBE geometry in the Materials Project.

Cell and atoms:
```
data_Mg14TiC
_space_group_name_H-M_alt 'A m m 2'
_space_group_IT_number 38
_cell_length_a 9.761
_cell_length_b 5.983
_cell_length_c 11.560
_cell_angle_alpha 90.00
_cell_angle_beta 90.00
_cell_angle_gamma 90.00
loop_
_space_group_symop_operation_xyz
'x,y,z'
'-x,-y,z'
'-x,y,z'
'x,-y,z'
'x,y+1/2,z+1/2'
'-x,-y+1/2,z+1/2'
'-x,y+1/2,z+1/2'
'x,-y+1/2,z+1/2'
loop_
_atom_site_label
_atom_site_fract_x
_atom_site_fract_y
_atom_site_fract_z
_atom_site_occupancy
Mg1 0.000 0.000 0.000 1
Mg2 0.000 0.000 0.494 1
Mg3 0.000 0.246 0.249 1
Mg4 0.250 0.000 0.658 1
Mg5 0.266 0.246 0.913 1
Mg6 0.294 0.000 0.138 1
Mg7 0.500 0.234 0.769 1
Ti1 0.500 0.000 0.517 1
C1 0.500 0.000 0.928 1
```

Main lines, by angle (2θ = 10–80°):
| Position (°2θ) | d/Å | Rel. int. | h k l |
| --- | --- | --- | --- |
| 32.3 | 2.774 | 11 | 3 1 1 |
| 33.7 | 2.657 | 39 | 0 2 2 |
| 36.1 | 2.487 | 75 | 2 0 4 |
| 36.8 | 2.440 | 39 | 4 0 0 |
| 38.6 | 2.333 | 100 | 2 2 2 |
| 50.8 | 1.797 | 19 | 4 2 2 |
| 56.8 | 1.620 | 19 | 0 2 6 |
| 67.5 | 1.387 | 13 | 6 2 2 |
| 69.7 | 1.350 | 17 | 4 2 6 |
| 74.0 | 1.282 | 17 | 2 4 4 |